Record 1
Simulated X-ray powder pattern
Compound: ZrZn2Co2
Radiation: CuKα
Structure: DFT lattice parameters and positions (PBE)
Intensities are scaled so that the largest is 100.

Top 10 peaks for 5° ≤ 2θ ≤ 70°, by intensity:
- 2.129 Å, 2θ 42.46, intensity 100.0
- 2.192 Å, 2θ 41.18, intensity 76.8
- 2.514 Å, 2θ 35.71, intensity 17.6
- 2.237 Å, 2θ 40.32, intensity 16.2
- 2.451 Å, 2θ 36.67, intensity 11.8
- 1.464 Å, 2θ 63.53, intensity 10.9
- 1.550 Å, 2θ 59.65, intensity 10.0
- 1.755 Å, 2θ 52.12, intensity 8.7
- 1.458 Å, 2θ 63.84, intensity 8.4
- 1.607 Å, 2θ 57.33, intensity 7.7

Cell and atoms:
Cell lengths 6.932, 6.932, 2.929 Å; angles 90.00, 90.00, 90.00 degrees
Fractional positions:
Zr (0.000, 0.000, 0.000)
Zr (0.500, 0.500, 0.000)
Zn (0.150, 0.350, 0.500)
Zn (0.350, 0.850, 0.500)
Zn (0.650, 0.150, 0.500)
Zn (0.850, 0.650, 0.500)
Co (0.144, 0.644, 0.000)
Co (0.356, 0.144, 0.000)
Co (0.644, 0.856, 0.000)
Co (0.856, 0.356, 0.000)


Record 2
Simulated X-ray powder pattern
Compound: Zr2Zn3Co4
Radiation: CuKα
Structure: DFT lattice parameters and positions (PBE)
Intensities are scaled so that the largest is 100.

Top 10 peaks for 5° ≤ 2θ ≤ 70°, by intensity:
- 2.027 Å, 2θ 44.70, intensity 100.0
- 2.439 Å, 2θ 36.85, intensity 83.9
- 2.292 Å, 2θ 39.31, intensity 56.2
- 2.008 Å, 2θ 45.15, intensity 51.9
- 2.096 Å, 2θ 43.16, intensity 42.0
- 2.428 Å, 2θ 37.02, intensity 32.6
- 1.921 Å, 2θ 47.33, intensity 28.3
- 2.139 Å, 2θ 42.24, intensity 27.8
- 1.813 Å, 2θ 50.33, intensity 20.8
- 1.991 Å, 2θ 45.55, intensity 19.9

Cell and atoms:
Cell lengths 8.059, 8.059, 6.540 Å; angles 90.00, 90.00, 142.61 degrees
Fractional positions:
Zr (0.100, 0.900, 0.904)
Zr (0.400, 0.600, 0.404)
Zr (0.600, 0.400, 0.596)
Zr (0.900, 0.100, 0.096)
Zn (0.000, 0.000, 0.500)
Zn (0.010, 0.490, 0.750)
Zn (0.490, 0.010, 0.250)
Zn (0.500, 0.500, 0.000)
Zn (0.510, 0.990, 0.750)
Zn (0.990, 0.510, 0.250)
Co (0.159, 0.841, 0.515)
Co (0.173, 0.327, 0.750)
Co (0.327, 0.173, 0.250)
Co (0.341, 0.659, 0.015)
Co (0.659, 0.341, 0.985)
Co (0.673, 0.827, 0.750)
Co (0.827, 0.673, 0.250)
Co (0.841, 0.159, 0.485)


Record 3
Simulated X-ray powder pattern
Compound: ZrZn20Co2
Radiation: CuKα
Structure: DFT lattice parameters and positions (PBE)
Intensities are scaled so that the largest is 100.

Top 10 peaks for 5° ≤ 2θ ≤ 70°, by intensity:
- 2.348 Å, 2θ 38.34, intensity 100.0
- 2.094 Å, 2θ 43.20, intensity 81.0
- 2.118 Å, 2θ 42.68, intensity 76.3
- 2.196 Å, 2θ 41.10, intensity 39.9
- 1.945 Å, 2θ 46.70, intensity 31.7
- 2.005 Å, 2θ 45.23, intensity 24.8
- 1.637 Å, 2θ 56.19, intensity 23.0
- 2.315 Å, 2θ 38.90, intensity 18.0
- 1.396 Å, 2θ 67.04, intensity 16.6
- 1.697 Å, 2θ 54.04, intensity 10.7

Cell and atoms:
Cell lengths 9.822, 9.822, 9.822 Å; angles 60.00, 60.00, 60.00 degrees
Fractional positions:
Zr (0.125, 0.125, 0.125)
Zr (0.875, 0.875, 0.875)
Zn (0.000, 0.000, 0.000)
Zn (0.000, 0.000, 0.500)
Zn (0.000, 0.500, 0.000)
Zn (0.056, 0.324, 0.324)
Zn (0.056, 0.324, 0.796)
Zn (0.056, 0.796, 0.324)
Zn (0.204, 0.676, 0.676)
Zn (0.204, 0.676, 0.944)
Zn (0.204, 0.944, 0.676)
Zn (0.238, 0.238, 0.512)
Zn (0.238, 0.512, 0.238)
Zn (0.238, 0.512, 0.512)
Zn (0.324, 0.056, 0.324)
Zn (0.324, 0.056, 0.796)
Zn (0.324, 0.324, 0.056)
Zn (0.324, 0.324, 0.796)
Zn (0.324, 0.796, 0.056)
Zn (0.324, 0.796, 0.324)
Zn (0.488, 0.488, 0.762)
Zn (0.488, 0.762, 0.488)
Zn (0.488, 0.762, 0.762)
Zn (0.500, 0.000, 0.000)
Zn (0.512, 0.238, 0.238)
Zn (0.512, 0.238, 0.512)
Zn (0.512, 0.512, 0.238)
Zn (0.676, 0.204, 0.676)
Zn (0.676, 0.204, 0.944)
Zn (0.676, 0.676, 0.204)
Zn (0.676, 0.676, 0.944)
Zn (0.676, 0.944, 0.204)
Zn (0.676, 0.944, 0.676)
Zn (0.762, 0.488, 0.488)
Zn (0.762, 0.488, 0.762)
Zn (0.762, 0.762, 0.488)
Zn (0.796, 0.056, 0.324)
Zn (0.796, 0.324, 0.056)
Zn (0.796, 0.324, 0.324)
Zn (0.944, 0.204, 0.676)
Zn (0.944, 0.676, 0.204)
Zn (0.944, 0.676, 0.676)
Co (0.000, 0.500, 0.500)
Co (0.500, 0.000, 0.500)
Co (0.500, 0.500, 0.000)
Co (0.500, 0.500, 0.500)


Record 4
Simulated X-ray powder pattern
Compound: Zr3Zn9Co2
Radiation: CuKα
Structure: DFT lattice parameters and positions (PBE)
Intensities are scaled so that the largest is 100.

Top 10 peaks for 5° ≤ 2θ ≤ 70°, by intensity:
- 2.397 Å, 2θ 37.52, intensity 100.0
- 2.120 Å, 2θ 42.64, intensity 62.4
- 1.977 Å, 2θ 45.90, intensity 48.5
- 2.470 Å, 2θ 36.37, intensity 38.3
- 2.279 Å, 2θ 39.55, intensity 37.7
- 2.404 Å, 2θ 37.42, intensity 34.4
- 2.264 Å, 2θ 39.82, intensity 27.1
- 2.367 Å, 2θ 38.02, intensity 25.6
- 1.861 Å, 2θ 48.95, intensity 24.4
- 1.590 Å, 2θ 58.00, intensity 20.7

Cell and atoms:
Cell lengths 7.569, 7.569, 7.569 Å; angles 147.46, 105.92, 83.26 degrees
Fractional positions:
Zr (0.000, 0.000, 0.000)
Zr (0.304, 0.304, 0.000)
Zr (0.696, 0.696, 0.000)
Zn (0.010, 0.644, 0.366)
Zn (0.146, 0.868, 0.277)
Zn (0.278, 0.644, 0.634)
Zn (0.409, 0.132, 0.277)
Zn (0.500, 0.000, 0.500)
Zn (0.591, 0.868, 0.723)
Zn (0.722, 0.356, 0.366)
Zn (0.854, 0.132, 0.723)
Zn (0.990, 0.356, 0.634)
Co (0.345, 0.500, 0.845)
Co (0.655, 0.500, 0.155)